Li2MnOF3: theoretical X-ray diffraction stick pattern (Cu Kα), based on a crystal structure in Alexandria, relaxed with PBE+U.
Lines closer than 0.1° are merged.

Crystal structure
```
data_Li2MnOF3
_cell_length_a 2.8858
_cell_length_b 5.0186
_cell_length_c 10.2513
_cell_angle_alpha 90.00
_cell_angle_beta 90.00
_cell_angle_gamma 90.00
_space_group_name_H-M_alt 'P m c 21'
_space_group_IT_number 26
loop_
_space_group_symop_operation_xyz
'x,y,z'
'-x,-y,z+1/2'
'-x,y,z'
'x,-y,z+1/2'
loop_
_atom_site_label
_atom_site_type_symbol
_atom_site_fract_x
_atom_site_fract_y
_atom_site_fract_z
Li1 Li 0.0000 0.2443 0.0000
Li2 Li 0.0000 0.2449 0.5648
Mn1 Mn 0.5000 0.2293 0.2971
O1 O 0.0000 0.0485 0.3752
F1 F 0.0000 0.4560 0.2155
F2 F 0.5000 0.0180 0.1129
F3 F 0.5000 0.4922 0.4762
```

Top 10 peaks for 10° ≤ 2θ ≤ 90°, most intense first:
d [Å]	I_rel
4.507	100
1.776	34
5.126	26
2.248	24
2.825	24
2.430	23
2.282	18
2.019	12
1.586	12
1.470	12